Computed XRD peak list of TmTaFe2O6 for Cu Kα X-rays, from DFT lattice parameters and positions (PBE+U).

Most intense lines, 2θ from 10° to 80°, in order of falling intensity:
Position (°2θ)  Rel. int.  h k l
19.4  100.0  0 1 0
19.6  49.7  1 0 -1
32.3  40.8  1 1 -1
32.6  38.9  1 -2 0
32.8  38.1  -2 1 1
33.8  28.9  1 0 1
47.2  28.2  2 -2 1
34.1  27.8  0 1 -2
35.1  26.6  -1 1 2
34.5  14.9  0 0 2
48.1  14.4  0 2 1
58.3  13.8  2 1 0

Structural model:
Cell: 5.4650 5.4973 6.0142 Å, 92.04 114.79 119.22°
Space group P1 (No. 1)
Symmetry-distinct sites (fractional):
Tm 0.0000 0.0000 0.0000 (multiplicity 1)
Ta 0.3836 0.1831 0.5730 (multiplicity 1)
Fe 0.0989 0.5465 0.6384 (multiplicity 1)
Fe 0.7458 0.3717 0.1181 (multiplicity 1)
O 0.0053 0.7966 0.3436 (multiplicity 1)
O 0.1434 0.3426 0.3566 (multiplicity 1)
O 0.2603 0.2788 0.8260 (multiplicity 1)
O 0.5317 0.1891 0.3287 (multiplicity 1)
O 0.5490 0.9792 0.8171 (multiplicity 1)
O 0.8461 0.5619 0.8127 (multiplicity 1)


Computed XRD peak list of Ta2Zn2FeO8 for Cu Kα X-rays, from DFT lattice parameters and positions (PBE+U).

Most intense lines, 2θ from 10° to 80°, in order of falling intensity:
Position (°2θ)  Rel. int.  h k l
32.1  100.0  5 1 -1
34.6  92.4  0 2 1
27.4  76.6  5 1 0
32.3  72.7  5 1 1
22.9  65.0  1 1 -1
33.7  61.6  0 0 2
26.4  49.7  3 1 1
18.2  42.0  4 0 0
51.8  36.9  5 3 0
15.6  32.1  1 1 0
59.2  30.4  5 1 -3
60.9  29.9  0 2 3

Structural model:
Cell: 19.5204 5.9313 5.3183 Å, 90.00 90.24 90.00°
Space group C2/c (No. 15)
Symmetry-distinct sites (fractional):
Ta 0.1156 0.1565 0.2672 (multiplicity 8)
Zn 0.2182 0.3467 0.7710 (multiplicity 8)
Fe 0.0000 0.3527 0.7500 (multiplicity 4)
O 0.0599 0.3763 0.4035 (multiplicity 8)
O 0.0704 0.1146 0.9316 (multiplicity 8)
O 0.1773 0.1042 0.5683 (multiplicity 8)
O 0.1940 0.3503 0.1410 (multiplicity 8)


Computed XRD peak list of TaZn2FeO6 for Cu Kα X-rays, from DFT lattice parameters and positions (PBE+U).

Most intense lines, 2θ from 10° to 80°, in order of falling intensity:
Position (°2θ)  Rel. int.  h k l
33.5  100.0  0 0 2
33.2  67.6  1 2 -1
34.1  31.2  2 0 0
16.9  20.6  1 0 0
16.6  20.6  0 0 1
47.2  17.5  0 4 0
60.3  16.4  3 2 -1
60.8  15.8  3 2 1
59.1  15.7  0 4 2
59.5  15.1  2 4 0
49.0  14.7  2 0 2
48.2  14.4  2 0 -2

Structural model:
Cell: 5.2593 7.7034 5.3423 Å, 90.00 90.87 90.00°
Space group P2_1/m (No. 11)
Symmetry-distinct sites (fractional):
Ta 0.0000 0.0000 0.0000 (multiplicity 2)
Zn 0.0158 0.2500 0.4858 (multiplicity 2)
Zn 0.4967 0.7500 0.0455 (multiplicity 2)
Fe 0.5000 0.0000 0.5000 (multiplicity 2)
O 0.1211 0.2500 0.0623 (multiplicity 2)
O 0.1681 0.5632 0.3202 (multiplicity 4)
O 0.3192 0.5647 0.8269 (multiplicity 4)
O 0.3853 0.2500 0.5788 (multiplicity 2)


Computed XRD peak list of Tb2VFeO6 for Cu Kα X-rays, from DFT lattice parameters and positions (PBE+U).

Most intense lines, 2θ from 10° to 80°, in order of falling intensity:
Position (°2θ)  Rel. int.  h k l
33.1  100.0  1 1 1
25.9  26.7  1 1 0
34.0  24.7  2 0 -2
52.7  22.9  1 3 -2
23.0  21.8  1 1 -1
60.2  19.1  2 0 -6
31.5  18.0  0 2 0
33.7  17.5  0 2 1
47.0  16.4  2 2 -2
48.6  16.0  2 2 -3
23.5  15.5  0 0 2
48.1  14.6  0 0 4

Structural model:
Cell: 5.2740 5.6882 9.2146 Å, 90.00 124.77 90.00°
Space group P2_1/c (No. 14)
Symmetry-distinct sites (fractional):
Tb 0.2276 0.0719 0.2494 (multiplicity 4)
V 0.5000 0.0000 0.0000 (multiplicity 2)
Fe 0.0000 0.0000 0.5000 (multiplicity 2)
O 0.1370 0.1959 0.9455 (multiplicity 4)
O 0.2487 0.6899 0.9453 (multiplicity 4)
O 0.3559 0.0372 0.7479 (multiplicity 4)